# 1
The following is a calculated PXRD pattern of FeRe. It was derived from the PBE geometry in Alexandria, using CuKα.
Neutral-atom scattering factors, no anomalous dispersion.

Most intense lines, 2θ = 5–70°, in order of rising 2θ:
25.67°, I 33
42.54°, I 100
50.35°, I 17
61.73°, I 16
67.98°, I 7

Structure:
```
4
Lattice="0.0000 3.0054 3.0054 3.0054 0.0000 3.0054 3.0054 3.0054 0.0000" Properties=species:S:1:pos:R:3 pbc="T T T"
Fe 0.7514 0.7514 0.7514
Fe 5.2595 5.2595 5.2595
Re 2.2541 2.2541 2.2541
Re 3.7568 3.7568 3.7568
```

# 2
The following is a calculated PXRD pattern of Nd4Rh2Au5. It was derived from the PBE geometry in Alexandria, using CuKα.
Neutral-atom scattering factors, no anomalous dispersion.

Most intense lines, 2θ = 5–70°, in order of rising 2θ:
23.18°, I 40
32.40°, I 87
32.91°, I 39
33.47°, I 100
33.63°, I 74
36.38°, I 41
37.09°, I 67
39.93°, I 48
44.19°, I 40
47.39°, I 50

Structure:
```
11
Lattice="7.4283 0.0000 0.0000 0.0000 3.8369 0.0000 -0.6443 0.0000 9.0279" Properties=species:S:1:pos:R:3 pbc="T T T"
Nd 1.2189 0.0000 3.2496
Nd 1.1702 0.0000 8.3498
Nd 5.6138 0.0000 0.6781
Nd 5.5651 0.0000 5.7783
Rh 0.4343 1.9184 1.2950
Rh 6.3497 1.9184 7.7329
Au 0.8632 1.9184 5.7689
Au 3.2478 1.9184 1.5422
Au 3.3920 1.9184 4.5140
Au 3.5362 1.9184 7.4858
Au 5.9208 1.9184 3.2590
```

# 3
The following is a calculated PXRD pattern of ZrTaTcOs. It was derived from the PBE geometry in Alexandria, using CuKα.
Neutral-atom scattering factors, no anomalous dispersion.

Most intense lines, 2θ = 5–70°, in order of rising 2θ:
19.35°, I 11
34.01°, I 6
39.28°, I 20
39.42°, I 100
44.27°, I 3
52.91°, I 3
56.87°, I 14
57.08°, I 7
60.86°, I 1
68.04°, I 1

Structure:
```
4
Lattice="3.2269 0.0000 0.0000 0.0000 4.5716 0.0000 0.0000 0.0000 4.5873" Properties=species:S:1:pos:R:3 pbc="T T T"
Zr 0.0000 0.0000 0.0000
Ta 0.0000 2.2858 2.2936
Tc 1.6135 2.2858 0.0000
Os 1.6135 0.0000 2.2936
```

# 4
The following is a calculated PXRD pattern of CsKAsS3. It was derived from the PBE geometry in Alexandria, using CuKα.
Neutral-atom scattering factors, no anomalous dispersion.

Most intense lines, 2θ = 5–70°, in order of rising 2θ:
10.00°, I 100
23.86°, I 45
24.03°, I 49
24.77°, I 82
28.70°, I 26
31.64°, I 20
31.81°, I 26
34.04°, I 28
40.09°, I 19
48.62°, I 22

Structure:
```
12
Lattice="6.3533 -4.0776 0.0000 6.3533 4.0776 0.0000 -1.2695 0.0000 8.8415" Properties=species:S:1:pos:R:3 pbc="T T T"
Cs 1.5256 0.0000 3.6813
Cs 9.9115 0.0000 5.1602
K 6.3533 1.8338 0.0000
K 6.3533 -1.8338 0.0000
As 5.6183 0.0000 3.1351
As 5.8188 0.0000 5.7064
S 4.5452 1.8140 2.5874
S 3.8040 0.0000 6.5440
S 6.8919 1.8140 6.2541
S 4.5452 -1.8140 2.5874
S 7.6331 0.0000 2.2975
S 6.8919 -1.8140 6.2541
```

# 5
The following is a calculated PXRD pattern of Tb7Pr4Nd. It was derived from the PBE geometry in Alexandria, using CuKα.
Neutral-atom scattering factors, no anomalous dispersion.

Most intense lines, 2θ = 5–70°, in order of rising 2θ:
29.99°, I 58
30.66°, I 63
31.06°, I 84
31.18°, I 80
31.54°, I 100
31.77°, I 55
32.06°, I 28
42.60°, I 20
45.94°, I 21
56.03°, I 26

Structure:
```
12
Lattice="6.6328 0.0000 0.0000 0.9688 6.8689 0.0000 2.0280 0.4988 8.9393" Properties=species:S:1:pos:R:3 pbc="T T T"
Tb 0.0000 0.0000 0.0000
Tb 2.6100 4.3377 3.4274
Tb 3.6129 1.6870 5.7373
Tb 4.0598 5.1738 0.4476
Tb 5.5698 2.1939 8.4917
Tb 6.0167 5.6807 3.2021
Tb 7.0196 3.0300 5.5119
Pr 1.8209 0.9151 2.7714
Pr 4.5130 5.1192 6.3963
Pr 5.1166 2.2486 2.5430
Pr 7.8087 6.4527 6.1680
Nd 0.4844 3.4345 0.0000
```

# 6
The following is a calculated PXRD pattern of InHg6Pb. It was derived from the PBE geometry in Alexandria, using CuKα.
Neutral-atom scattering factors, no anomalous dispersion.

Most intense lines, 2θ = 5–70°, in order of rising 2θ:
29.11°, I 23
29.29°, I 13
31.02°, I 24
34.29°, I 100
34.45°, I 40
35.93°, I 33
46.88°, I 13
51.82°, I 12
63.56°, I 24
64.67°, I 12

Structure:
```
8
Lattice="4.9993 0.0000 0.0000 0.0000 3.5499 6.0991 0.0000 -3.5499 6.0991" Properties=species:S:1:pos:R:3 pbc="T T T"
In 0.0000 0.0000 0.0000
Hg 0.0000 0.0000 5.3960
Hg 0.0000 -1.5453 8.7757
Hg 0.0000 1.5453 8.7757
Hg 2.4996 -1.5765 6.6496
Hg 2.4996 1.5765 6.6496
Hg 2.4996 0.0000 10.1028
Pb 2.4996 0.0000 3.2659
```